Simulated XRD peak list
Compound: LaNd2NiIr2Pb3
Radiation: Cu Kα (λ = 1.5418 Å)
Structure: a DFT-relaxed cell (GGA-PBE, OQMD)

Main lines, sorted by position (5 to 70 degrees two-theta):
- 2θ 31.95, d 2.801, intensity 1000, (1 3 1)
- 2θ 34.67, d 2.587, intensity 795, (1 4 0)
- 2θ 35.08, d 2.558, intensity 248, (0 1 3)
- 2θ 35.23, d 2.548, intensity 468, (0 4 2)
- 2θ 41.88, d 2.157, intensity 270, (1 4 2)
- 2θ 44.98, d 2.015, intensity 264, (2 0 0)

Cell and atoms:
Unit cell a=4.0303 b=13.4600 c=7.8158 alpha=90.00 beta=90.00 gamma=90.00
Space group Amm2 (No. 38)
Inequivalent atoms, fractional coordinates:
1 La 0.0000 0.0000 0.0000 (multiplicity 2)
2 Nd 0.0000 0.2064 0.6222 (multiplicity 4)
3 Ni 0.0000 0.0000 0.4177 (multiplicity 2)
4 Ir 0.5000 0.1651 0.9181 (multiplicity 4)
5 Pb 0.5000 0.0000 0.6638 (multiplicity 2)
6 Pb 0.5000 0.1265 0.2924 (multiplicity 4)

Simulated XRD peak list
Compound: LaNdSb2Ir2O2
Radiation: Cu Kα (λ = 1.5418 Å)
Structure: a DFT-relaxed cell (GGA-PBE, OQMD)

Main lines, sorted by position (5 to 70 degrees two-theta):
- 2θ 10.05, d 8.799, intensity 800, (0 0 1)
- 2θ 29.30, d 3.048, intensity 1000, (1 0 2)
- 2θ 31.62, d 2.830, intensity 666, (1 1 1)
- 2θ 36.34, d 2.472, intensity 796, (1 1 2)
- 2θ 42.79, d 2.113, intensity 687, (2 0 0)
- 2θ 51.59, d 1.772, intensity 526, (1 1 4)

Cell and atoms:
Unit cell a=4.2266 b=4.2266 c=8.7986 alpha=90.00 beta=90.00 gamma=90.00
Space group P4mm (No. 99)
Inequivalent atoms, fractional coordinates:
1 La 0.0000 0.0000 0.0000 (multiplicity 1)
2 Nd 0.5000 0.5000 0.7447 (multiplicity 1)
3 Sb 0.0000 0.0000 0.5531 (multiplicity 1)
4 Sb 0.5000 0.5000 0.2015 (multiplicity 1)
5 Ir 0.0000 0.5000 0.3776 (multiplicity 2)
6 O 0.0000 0.5000 0.8713 (multiplicity 2)

Simulated XRD peak list
Compound: La2NdSi4Ir2Pd2
Radiation: Cu Kα (λ = 1.5418 Å)
Structure: a DFT-relaxed cell (GGA-PBE, OQMD)

Main lines, sorted by position (5 to 70 degrees two-theta):
- 2θ 7.03, d 12.572, intensity 524, (0 0 2)
- 2θ 28.40, d 3.143, intensity 172, (0 0 8)
- 2θ 33.03, d 2.712, intensity 185, (1 0 7)
- 2θ 33.62, d 2.666, intensity 1000, (1 1 4)
- 2θ 43.17, d 2.096, intensity 219, (0 2 0)
- 2θ 43.78, d 2.068, intensity 189, (2 0 0)

Cell and atoms:
Unit cell a=4.1354 b=4.1915 c=25.1446 alpha=90.00 beta=90.00 gamma=90.00
Space group Immm (No. 71)
Inequivalent atoms, fractional coordinates:
1 La 0.0000 0.0000 0.1463 (multiplicity 4)
2 Nd 0.0000 0.5000 0.0000 (multiplicity 2)
3 Si 0.0000 0.0000 0.3007 (multiplicity 4)
4 Si 0.0000 0.5000 0.4530 (multiplicity 4)
5 Ir 0.0000 0.5000 0.2497 (multiplicity 4)
6 Pd 0.0000 0.0000 0.4006 (multiplicity 4)

Simulated XRD peak list
Compound: LaNi2Ir2
Radiation: Cu Kα (λ = 1.5418 Å)
Structure: a DFT-relaxed cell (GGA-PBE, OQMD)

Main lines, sorted by position (5 to 70 degrees two-theta):
- 2θ 32.14, d 2.785, intensity 336, (1 1 1)
- 2θ 34.02, d 2.636, intensity 548, (1 0 3)
- 2θ 35.57, d 2.524, intensity 1000, (1 1 2)
- 2θ 44.29, d 2.045, intensity 656, (2 0 0)
- 2θ 47.16, d 1.927, intensity 351, (1 1 4)
- 2θ 49.39, d 1.845, intensity 280, (1 0 5)

Cell and atoms:
Unit cell a=4.0903 b=4.0903 c=10.3386 alpha=90.00 beta=90.00 gamma=90.00
Space group P4/nmm (No. 129, origin choice 2)
Inequivalent atoms, fractional coordinates:
1 La 0.2500 0.2500 0.2486 (multiplicity 2)
2 Ni 0.2500 0.2500 0.8585 (multiplicity 2)
3 Ni 0.2500 0.7500 0.5000 (multiplicity 2)
4 Ir 0.2500 0.2500 0.6293 (multiplicity 2)
5 Ir 0.2500 0.7500 0.0000 (multiplicity 2)

Simulated XRD peak list
Compound: LaNiSnPIr
Radiation: Cu Kα (λ = 1.5418 Å)
Structure: a DFT-relaxed cell (GGA-PBE, OQMD)

Main lines, sorted by position (5 to 70 degrees two-theta):
- 2θ 16.77, d 5.286, intensity 137, (0 0 2)
- 2θ 33.92, d 2.643, intensity 161, (0 0 4)
- 2θ 35.01, d 2.563, intensity 1000, (1 1 2)
- 2θ 43.68, d 2.072, intensity 354, (2 0 0)
- 2θ 46.26, d 1.963, intensity 134, (1 1 4)
- 2θ 56.43, d 1.631, intensity 156, (2 0 4)

Cell and atoms:
Unit cell a=4.1442 b=4.1442 c=10.5715 alpha=90.00 beta=90.00 gamma=90.00
Space group P4/nmm (No. 129, origin choice 2)
Inequivalent atoms, fractional coordinates:
1 La 0.2500 0.2500 0.2354 (multiplicity 2)
2 Ni 0.2500 0.2500 0.6591 (multiplicity 2)
3 Sn 0.2500 0.7500 0.5000 (multiplicity 2)
4 P 0.2500 0.2500 0.8690 (multiplicity 2)
5 Ir 0.2500 0.7500 0.0000 (multiplicity 2)

Simulated XRD peak list
Compound: LaPrP2Ir2O2
Radiation: Cu Kα (λ = 1.5418 Å)
Structure: a DFT-relaxed cell (GGA-PBE, OQMD)

Main lines, sorted by position (5 to 70 degrees two-theta):
- 2θ 10.39, d 8.515, intensity 686, (0 0 1)
- 2θ 30.61, d 2.920, intensity 590, (1 0 2)
- 2θ 33.28, d 2.692, intensity 1000, (1 1 1)
- 2θ 38.11, d 2.361, intensity 750, (1 1 2)
- 2θ 45.19, d 2.007, intensity 564, (2 0 0)
- 2θ 53.84, d 1.703, intensity 589, (1 1 4)

Cell and atoms:
Unit cell a=4.0130 b=4.0130 c=8.5153 alpha=90.00 beta=90.00 gamma=90.00
Space group P4mm (No. 99)
Inequivalent atoms, fractional coordinates:
1 La 0.0000 0.0000 0.0000 (multiplicity 1)
2 Pr 0.5000 0.5000 0.7110 (multiplicity 1)
3 P 0.0000 0.0000 0.5103 (multiplicity 1)
4 P 0.5000 0.5000 0.2064 (multiplicity 1)
5 Ir 0.0000 0.5000 0.3586 (multiplicity 2)
6 O 0.0000 0.5000 0.8554 (multiplicity 2)

Simulated XRD peak list
Compound: La2ZrP2IrO2
Radiation: Cu Kα (λ = 1.5418 Å)
Structure: a DFT-relaxed cell (GGA-PBE, OQMD)

Main lines, sorted by position (5 to 70 degrees two-theta):
- 2θ 23.93, d 3.718, intensity 426, (1 0 1)
- 2θ 29.63, d 3.015, intensity 923, (1 0 2)
- 2θ 32.55, d 2.751, intensity 1000, (1 1 1)
- 2θ 37.04, d 2.427, intensity 652, (1 1 2)
- 2θ 44.30, d 2.045, intensity 560, (2 0 0)
- 2θ 51.74, d 1.767, intensity 613, (1 1 4)

Cell and atoms:
Unit cell a=4.0895 b=4.0895 c=8.9282 alpha=90.00 beta=90.00 gamma=90.00
Space group P-4m2 (No. 115)
Inequivalent atoms, fractional coordinates:
1 La 0.0000 0.5000 0.1354 (multiplicity 2)
2 Zr 0.5000 0.5000 0.5000 (multiplicity 1)
3 P 0.0000 0.5000 0.6697 (multiplicity 2)
4 Ir 0.0000 0.0000 0.5000 (multiplicity 1)
5 O 0.0000 0.0000 0.0000 (multiplicity 1)
6 O 0.5000 0.5000 0.0000 (multiplicity 1)